Calculated X-ray powder pattern
Compound: CoB3O6
Radiation: Cu Kα, 1.54184 Å
Structure: a structure optimized by DFT (GGA+U)
Peak positions follow from Bragg's law for the DFT cell and can differ from measured ones.

The 10 most intense peaks (5 to 70 degrees two-theta), in order of rising 2θ:
| 2θ (°) | I/Imax |
| --- | --- |
| 15.4 | 37 |
| 19.1 | 22 |
| 21.2 | 25 |
| 22.4 | 22 |
| 29.0 | 100 |
| 31.1 | 62 |
| 34.1 | 26 |
| 35.7 | 54 |
| 50.2 | 24 |
| 58.7 | 23 |

Atomic structure:
Cell lengths 6.399, 6.399, 5.580 Å; angles 115.67, 115.67, 81.69 degrees
Atoms (fractional coordinates):
Co (0.186, 0.814, 0.750)
Co (0.814, 0.186, 0.250)
B (0.157, 0.307, 0.846)
B (0.284, 0.716, 0.250)
B (0.307, 0.157, 0.346)
B (0.693, 0.843, 0.654)
B (0.716, 0.284, 0.750)
B (0.843, 0.693, 0.154)
O (0.085, 0.716, 0.319)
O (0.115, 0.275, 0.359)
O (0.271, 0.519, 0.985)
O (0.275, 0.115, 0.859)
O (0.284, 0.915, 0.181)
O (0.481, 0.729, 0.515)
O (0.519, 0.271, 0.485)
O (0.716, 0.085, 0.819)
O (0.725, 0.885, 0.141)
O (0.729, 0.481, 0.015)
O (0.885, 0.725, 0.641)
O (0.915, 0.284, 0.681)